Record 1
Theoretical powder diffractogram of Pr2Y2CBr4Cl for Cu Kα, from a cell relaxed with PBE.
Lines closer than 0.1° are merged.

```
data_Pr2Y2CBr4Cl
_space_group_name_H-M_alt 'C 1 2/m 1'
_space_group_IT_number 12
_cell_length_a 18.133
_cell_length_b 3.834
_cell_length_c 8.069
_cell_angle_alpha 90.00
_cell_angle_beta 103.86
_cell_angle_gamma 90.00
loop_
_space_group_symop_operation_xyz
'x,y,z'
'-x,-y,-z'
'-x,y,-z'
'x,-y,z'
'x+1/2,y+1/2,z'
'-x+1/2,-y+1/2,-z'
'-x+1/2,y+1/2,-z'
'x+1/2,-y+1/2,z'
loop_
_atom_site_label
_atom_site_type_symbol
_atom_site_fract_x
_atom_site_fract_y
_atom_site_fract_z
_atom_site_occupancy
Pr1 Pr 0.145 0.000 0.080 1
Y1 Y 0.000 0.500 0.207 1
C1 C 0.000 0.000 0.000 1
Br1 Br 0.160 0.500 0.366 1
Br2 Br 0.165 0.500 0.807 1
Cl1 Cl 0.000 0.000 0.500 1
```

Largest 6 diffraction maxima, most intense first, 2θ = 10–80°:
d/Å	I/Imax	index
2.779	100	1 1 -2
2.934	52	6 0 0
7.834	45	0 0 1
2.006	32	5 1 2
2.030	27	7 1 -2
2.842	27	3 1 1

---

Record 2
Theoretical powder diffractogram of Sm4CBrCl4 for Cu Kα, from a cell relaxed with PBE.
Lines closer than 0.1° are merged.

```
data_Sm4CBrCl4
_space_group_name_H-M_alt 'C 1 2/m 1'
_space_group_IT_number 12
_cell_length_a 17.459
_cell_length_b 3.862
_cell_length_c 8.242
_cell_angle_alpha 90.00
_cell_angle_beta 104.65
_cell_angle_gamma 90.00
loop_
_space_group_symop_operation_xyz
'x,y,z'
'-x,-y,-z'
'-x,y,-z'
'x,-y,z'
'x+1/2,y+1/2,z'
'-x+1/2,-y+1/2,-z'
'-x+1/2,y+1/2,-z'
'x+1/2,-y+1/2,z'
loop_
_atom_site_label
_atom_site_type_symbol
_atom_site_fract_x
_atom_site_fract_y
_atom_site_fract_z
_atom_site_occupancy
Sm1 Sm 0.001 0.000 0.295 1
Sm2 Sm 0.146 0.500 0.583 1
C1 C 0.000 0.500 0.500 1
Br1 Br 0.000 0.500 0.000 1
Cl1 Cl 0.165 0.000 0.833 1
Cl2 Cl 0.171 0.000 0.349 1
```

Largest 6 diffraction maxima, most intense first, 2θ = 10–80°:
d/Å	I/Imax	index
2.818	100	1 1 -2
7.974	42	0 0 1
8.446	34	2 0 0
1.980	16	5 1 2
2.003	15	7 1 -2
3.185	14	3 1 0

---

Record 3
Theoretical powder diffractogram of Sm4CBr2Cl3 for Cu Kα, from a cell relaxed with PBE.
Lines closer than 0.1° are merged.

```
data_Sm4CBr2Cl3
_space_group_name_H-M_alt 'C 1 2/m 1'
_space_group_IT_number 12
_cell_length_a 17.579
_cell_length_b 3.856
_cell_length_c 8.033
_cell_angle_alpha 90.00
_cell_angle_beta 102.97
_cell_angle_gamma 90.00
loop_
_space_group_symop_operation_xyz
'x,y,z'
'-x,-y,-z'
'-x,y,-z'
'x,-y,z'
'x+1/2,y+1/2,z'
'-x+1/2,-y+1/2,-z'
'-x+1/2,y+1/2,-z'
'x+1/2,-y+1/2,z'
loop_
_atom_site_label
_atom_site_type_symbol
_atom_site_fract_x
_atom_site_fract_y
_atom_site_fract_z
_atom_site_occupancy
Sm1 Sm 0.003 0.000 0.288 1
Sm2 Sm 0.144 0.500 0.577 1
C1 C 0.000 0.500 0.500 1
Br1 Br 0.167 0.000 0.854 1
Cl1 Cl 0.000 0.500 0.000 1
Cl2 Cl 0.171 0.000 0.340 1
```

Largest 6 diffraction maxima, most intense first, 2θ = 10–80°:
d/Å	I/Imax	index
2.782	100	1 1 -2
7.828	51	0 0 1
2.855	45	6 0 0
2.837	32	3 1 1
1.995	28	5 1 2
1.990	28	7 1 -2

---

Record 4
Theoretical powder diffractogram of Sm4CBr2Cl3 for Cu Kα, from a cell relaxed with PBE.
Lines closer than 0.1° are merged.

```
data_Sm4CBr2Cl3
_space_group_name_H-M_alt 'C 1 2/m 1'
_space_group_IT_number 12
_cell_length_a 18.053
_cell_length_b 3.848
_cell_length_c 8.011
_cell_angle_alpha 90.00
_cell_angle_beta 104.92
_cell_angle_gamma 90.00
loop_
_space_group_symop_operation_xyz
'x,y,z'
'-x,-y,-z'
'-x,y,-z'
'x,-y,z'
'x+1/2,y+1/2,z'
'-x+1/2,-y+1/2,-z'
'-x+1/2,y+1/2,-z'
'x+1/2,-y+1/2,z'
loop_
_atom_site_label
_atom_site_type_symbol
_atom_site_fract_x
_atom_site_fract_y
_atom_site_fract_z
_atom_site_occupancy
Sm1 Sm 0.001 0.000 0.214 1
Sm2 Sm 0.142 0.500 0.084 1
C1 C 0.000 0.500 0.000 1
Br1 Br 0.170 0.000 0.827 1
Cl1 Cl 0.000 0.500 0.500 1
Cl2 Cl 0.162 0.000 0.343 1
```

Largest 6 diffraction maxima, most intense first, 2θ = 10–80°:
d/Å	I/Imax	index
2.774	100	1 1 -2
7.741	88	0 0 1
2.907	46	6 0 0
2.584	37	5 1 0
1.982	31	5 1 2
8.722	28	2 0 0